Diffraction record for BaSbHAu. The powder diffraction line list is calculated, not measured: it uses a structure optimized by DFT (GGA-PBE) and Cu Kα X-rays.
Kinematic intensities with the Lorentz-polarization factor, no thermal factor.

Principal peaks in the range 10° ≤ 2θ ≤ 80°, by angle:
(0 0 1), 18.08°, rel. 16; (0 1 1), 28.22°, rel. 100; (0 0 2), 36.63°, rel. 15; (1 1 0), 37.66°, rel. 53; (1 1 1), 42.08°, rel. 12; (2 0 1), 47.72°, rel. 24; (1 1 2), 53.55°, rel. 31; (0 1 3), 60.92°, rel. 13; (1 2 1), 62.33°, rel. 21; (3 0 2), 79.79°, rel. 10

Structure:
Unit cell a=4.7764 b=4.7764 c=4.9059 alpha=90.00 beta=90.00 gamma=120.00
Space group P3m1 (No. 156)
One atom of each set of equivalent atoms:
Ba (0.0000, 0.0000, 0.0000)
Sb (0.6667, 0.3333, 0.5340)
H (0.3333, 0.6667, 0.0930)
Au (0.3333, 0.6667, 0.4483)

---

Diffraction record for Ac6NdPt4. The powder diffraction line list is calculated, not measured: it uses a structure optimized by DFT (GGA-PBE) and Cu Kα X-rays.
Kinematic intensities with the Lorentz-polarization factor, no thermal factor.

Principal peaks in the range 10° ≤ 2θ ≤ 80°, by angle:
(2 2 -1), 28.12°, rel. 70; (2 2 0), 29.86°, rel. 100; (2 2 -2), 29.96°, rel. 93; (0 0 3), 30.28°, rel. 89; (2 2 1), 34.69°, rel. 70; (2 2 -3), 34.87°, rel. 73; (0 2 3), 36.96°, rel. 53; (4 0 -2), 38.19°, rel. 70; (0 4 0), 42.11°, rel. 55; (4 4 -2), 58.14°, rel. 40

Structure:
Unit cell a=9.4274 b=8.5825 c=9.9995 alpha=90.00 beta=117.67 gamma=90.00
Space group Cm (No. 8)
One atom of each set of equivalent atoms:
Ac (0.0000, 0.0000, 0.0000)
Ac (0.0398, 0.5000, 0.9968)
Ac (0.1296, 0.2403, 0.7142)
Ac (0.2148, 0.2525, 0.3797)
Nd (0.4230, 0.0000, 0.3014)
Pt (0.3005, 0.2366, 0.0602)
Pt (0.3358, 0.5000, 0.6458)
Pt (0.3553, 0.0000, 0.6434)

---

Diffraction record for BeAl2Ag. The powder diffraction line list is calculated, not measured: it uses a structure optimized by DFT (GGA-PBE) and Cu Kα X-rays.
Kinematic intensities with the Lorentz-polarization factor, no thermal factor.

Principal peaks in the range 10° ≤ 2θ ≤ 80°, by angle:
(0 0 1), 15.76°, rel. 100; (0 1 0), 23.69°, rel. 66; (0 1 1), 28.58°, rel. 66; (1 0 0), 31.64°, rel. 32; (1 0 1), 35.53°, rel. 37; (1 1 0), 39.90°, rel. 88; (0 1 2), 40.06°, rel. 84; (1 1 1), 43.15°, rel. 33; (1 0 2), 45.49°, rel. 58; (1 2 2), 68.65°, rel. 32

Structure:
Unit cell a=2.8281 b=3.7564 c=5.6229 alpha=90.00 beta=90.00 gamma=90.00
Space group Pmm2 (No. 25)
One atom of each set of equivalent atoms:
Be (0.0000, 0.0000, 0.0000)
Al (0.0000, 0.0000, 0.5347)
Al (0.5000, 0.5000, 0.7966)
Ag (0.5000, 0.5000, 0.2615)